Li2Zr3PbO8: simulated X-ray diffraction stick pattern (Cu Kα X-rays), based on a cell relaxed with GGA-PBE.
Kinematic intensities with the Lorentz-polarization factor, no thermal factor.

Lattice parameters (Å, degrees): 6.5161 6.5161 17.5937 90.00 90.00 120.00
Space group R3m (No. 160, hexagonal axes)
Unique sites:
Li 0.0000 0.0000 0.0000 x3
Li 0.0000 0.0000 0.4501 x3
Zr 0.1696 0.3391 0.8609 x9
Pb 0.0000 0.0000 0.6539 x3
O 0.0000 0.0000 0.2565 x3
O 0.0000 0.0000 0.8025 x3
O 0.0151 0.5076 0.8031 x9
O 0.1883 0.3766 0.5972 x9

The 6 most intense peaks (2θ = 10–90°), in order of falling intensity:
2θ (°)	I (rel.)	h k l
32.1	100	0 2 1
18.7	96	0 1 2
31.4	89	1 1 3
25.7	88	1 0 4
15.1	63	0 0 3
16.5	52	1 0 1

***

LiPd3O4: simulated X-ray diffraction stick pattern (Cu Kα X-rays), based on a cell relaxed with GGA-PBE.
Kinematic intensities with the Lorentz-polarization factor, no thermal factor.

Lattice parameters (Å, degrees): 5.709 5.709 5.709 90.00 90.00 90.00
Space group Pm-3n (No. 223)
Unique sites:
Li 0.000 0.000 0.000 x2
Pd 0.000 0.250 0.500 x6
O 0.250 0.250 0.250 x8

The 6 most intense peaks (2θ = 10–90°), in order of falling intensity:
2θ (°)	I (rel.)	h k l
35.1	100	2 1 0
22.0	38	1 1 0
55.8	26	2 2 2
58.3	23	3 2 0
38.6	21	2 1 1
76.5	20	4 2 1

***

LiPd2O4: simulated X-ray diffraction stick pattern (Cu Kα X-rays), based on a cell relaxed with GGA-PBE.
Kinematic intensities with the Lorentz-polarization factor, no thermal factor.

Lattice parameters (Å, degrees): 6.025 6.099 9.145 90.00 90.00 90.00
Space group Imma (No. 74)
Unique sites:
Li 0.000 0.250 0.140 x4
Pd 0.000 0.000 0.500 x4
Pd 0.250 0.250 0.750 x4
O 0.000 0.024 0.723 x8
O 0.225 0.250 0.496 x8

The 6 most intense peaks (2θ = 10–90°), in order of falling intensity:
2θ (°)	I (rel.)	h k l
17.6	100	1 0 1
17.5	88	0 1 1
42.2	56	2 2 0
59.1	40	2 2 4
32.9	37	0 1 3
34.4	34	1 2 1

***

LiPd3O: simulated X-ray diffraction stick pattern (Cu Kα X-rays), based on a cell relaxed with GGA-PBE.
Kinematic intensities with the Lorentz-polarization factor, no thermal factor.

Lattice parameters (Å, degrees): 4.204 4.204 4.204 90.00 90.00 90.00
Space group Pm-3m (No. 221)
Unique sites:
Li 0.000 0.000 0.000 x1
Pd 0.000 0.500 0.500 x3
O 0.500 0.500 0.500 x1

The 6 most intense peaks (2θ = 10–90°), in order of falling intensity:
2θ (°)	I (rel.)	h k l
37.0	100	1 1 1
43.0	59	2 0 0
21.1	48	1 0 0
62.5	38	2 2 0
74.9	38	3 1 1
30.1	20	1 1 0

***

LiPmPdO: simulated X-ray diffraction stick pattern (Cu Kα X-rays), based on a cell relaxed with GGA-PBE.
Kinematic intensities with the Lorentz-polarization factor, no thermal factor.

Lattice parameters (Å, degrees): 4.000 4.000 9.053 90.00 90.00 90.00
Space group P4/nmm (No. 129, origin choice 2)
Unique sites:
Li 0.250 0.750 0.000 x2
Pm 0.250 0.250 0.370 x2
Pd 0.250 0.250 0.814 x2
O 0.250 0.750 0.500 x2

The 6 most intense peaks (2θ = 10–90°), in order of falling intensity:
2θ (°)	I (rel.)	h k l
29.8	100	1 0 2
31.6	46	1 1 0
55.2	35	2 1 2
45.3	24	2 0 0
37.3	19	1 0 3
51.7	12	1 1 4

***

LiPr2PdO6: simulated X-ray diffraction stick pattern (Cu Kα X-rays), based on a cell relaxed with GGA-PBE.
Kinematic intensities with the Lorentz-polarization factor, no thermal factor.

Lattice parameters (Å, degrees): 5.478 5.866 9.485 90.00 124.95 90.00
Space group P2_1/c (No. 14)
Unique sites:
Li 0.000 0.000 0.000 x2
Pr 0.231 0.074 0.749 x4
Pd 0.500 0.000 0.500 x2
O 0.152 0.189 0.452 x4
O 0.268 0.708 0.452 x4
O 0.345 0.026 0.252 x4

The 6 most intense peaks (2θ = 10–90°), in order of falling intensity:
2θ (°)	I (rel.)	h k l
32.2	100	1 1 -3
32.0	99	1 1 1
32.7	90	2 0 -2
46.8	68	0 0 4
25.0	53	1 1 -2
51.0	42	1 3 0